For LaHo2ErTl2, a DFT-relaxed cell (PBE, Alexandria) gives the computed PXRD pattern in this record (Cu Kα).

Most intense lines, 5 to 70 degrees two-theta, sorted by position:
- hkl 0 3 1, 29.6 deg, I = 15
- hkl 1 0 2, 31.4 deg, I = 47
- hkl 1 3 0, 31.7 deg, I = 100
- hkl 1 1 2, 32.7 deg, I = 62
- hkl 1 3 1, 34.4 deg, I = 28
- hkl 2 0 0, 34.7 deg, I = 49
- hkl 0 3 2, 37.6 deg, I = 20
- hkl 2 2 2, 47.7 deg, I = 12
- hkl 2 3 2, 52.1 deg, I = 16
- hkl 0 1 4, 54.6 deg, I = 12
- hkl 3 3 0, 60.4 deg, I = 13
- hkl 3 1 2, 61.0 deg, I = 14

Structural model:
```
data_LaHo2ErTl2
_chemical_formula_sum 'La2 Ho4 Er2 Tl4'
_cell_length_a 5.1669
_cell_length_b 10.0970
_cell_length_c 6.8155
_cell_angle_alpha 90.00
_cell_angle_beta 90.00
_cell_angle_gamma 90.00
_space_group_name_H-M_alt 'P m c 21'
_space_group_IT_number 26
_space_group_name_Hall 'P 2c -2'
loop_
_atom_site_label
_atom_site_fract_x
_atom_site_fract_y
_atom_site_fract_z
La1 0.0000 0.0427 0.0000
Ho1 0.0000 0.3202 0.3823
Ho2 0.5000 0.4549 0.0952
Er1 0.5000 0.1970 0.7233
Tl1 0.0000 0.3677 0.8434
Tl2 0.5000 0.1414 0.2668
```

=====

For La2Ho4ErTm, a DFT-relaxed cell (PBE, Alexandria) gives the computed PXRD pattern in this record (Cu Kα).

Most intense lines, 5 to 70 degrees two-theta, sorted by position:
- hkl 0 1 0, 8.8 deg, I = 1
- hkl 1 0 0, 12.3 deg, I = 1
- hkl 2 2 0, 30.6 deg, I = 100
- hkl 2 0 2, 35.3 deg, I = 34
- hkl 0 4 0, 35.8 deg, I = 16
- hkl 4 0 0, 50.8 deg, I = 12
- hkl 2 4 2, 51.2 deg, I = 24
- hkl 4 2 2, 60.5 deg, I = 29
- hkl 2 6 0, 61.2 deg, I = 14
- hkl 4 4 0, 63.7 deg, I = 12

Structural model:
```
data_La2Ho4ErTm
_chemical_formula_sum 'La4 Ho8 Er2 Tm2'
_cell_length_a 7.1867
_cell_length_b 10.0259
_cell_length_c 7.1871
_cell_angle_alpha 90.00
_cell_angle_beta 90.06
_cell_angle_gamma 90.00
_space_group_name_H-M_alt 'P 1 m 1'
_space_group_IT_number 6
_space_group_name_Hall 'P -2y'
loop_
_atom_site_label
_atom_site_fract_x
_atom_site_fract_y
_atom_site_fract_z
La1 0.0000 0.0000 0.0000
La2 0.0001 0.0000 0.5001
La3 0.0001 0.5000 0.0007
La4 0.4999 0.0000 0.0007
Ho1 0.2538 0.2544 0.2543
Ho2 0.2539 0.2545 0.7470
Ho3 0.7461 0.2545 0.7467
Ho4 0.7460 0.2545 0.2539
Er1 0.9999 0.5000 0.5006
Er2 0.5000 0.0000 0.5007
Tm1 0.5001 0.5000 0.0003
Tm2 0.5000 0.5000 0.5003
```

=====

For La4HoErTm2, a DFT-relaxed cell (PBE, Alexandria) gives the computed PXRD pattern in this record (Cu Kα).

Most intense lines, 5 to 70 degrees two-theta, sorted by position:
- hkl 0 0 2, 18.2 deg, I = 1
- hkl 1 1 0, 24.0 deg, I = 1
- hkl 1 1 2, 30.3 deg, I = 100
- hkl 0 2 0, 34.1 deg, I = 18
- hkl 2 0 0, 34.3 deg, I = 18
- hkl 0 0 4, 36.8 deg, I = 15
- hkl 2 2 0, 49.2 deg, I = 13
- hkl 2 0 4, 51.1 deg, I = 23
- hkl 1 3 2, 58.7 deg, I = 15
- hkl 3 1 2, 58.9 deg, I = 15
- hkl 1 1 6, 62.2 deg, I = 13
- hkl 2 2 4, 62.9 deg, I = 12

Structural model:
```
data_La4HoErTm2
_chemical_formula_sum 'La4 Ho1 Er1 Tm2'
_cell_length_a 5.2343
_cell_length_b 5.2513
_cell_length_c 9.7747
_cell_angle_alpha 90.00
_cell_angle_beta 90.00
_cell_angle_gamma 90.00
_space_group_name_H-M_alt 'P m m m'
_space_group_IT_number 47
_space_group_name_Hall '-P 2 2'
loop_
_atom_site_label
_atom_site_fract_x
_atom_site_fract_y
_atom_site_fract_z
La1 0.0000 0.0000 0.2504
La2 0.5000 0.5000 0.2504
Ho1 0.0000 0.5000 0.0000
Er1 0.5000 0.0000 0.5000
Tm1 0.0000 0.5000 0.5000
Tm2 0.5000 0.0000 0.0000
```

=====

For La2HoEr6Tm3, a DFT-relaxed cell (PBE, Alexandria) gives the computed PXRD pattern in this record (Cu Kα).

Most intense lines, 5 to 70 degrees two-theta, sorted by position:
- hkl 0 0 1, 7.7 deg, I = 2
- hkl 1 3 1, 30.9 deg, I = 100
- hkl 0 0 4, 31.0 deg, I = 33
- hkl 2 0 2, 35.8 deg, I = 67
- hkl 0 6 0, 51.5 deg, I = 24
- hkl 2 0 -6, 51.6 deg, I = 24
- hkl 4 0 0, 61.3 deg, I = 43
- hkl 1 3 -7, 61.5 deg, I = 14
- hkl 4 0 -4, 64.3 deg, I = 12
- hkl 0 0 8, 64.6 deg, I = 4

Structural model:
```
data_La2HoEr6Tm3
_chemical_formula_sum 'La4 Ho2 Er12 Tm6'
_cell_length_a 6.1461
_cell_length_b 10.6408
_cell_length_c 11.7270
_cell_angle_alpha 90.00
_cell_angle_beta 100.05
_cell_angle_gamma 90.00
_space_group_name_H-M_alt 'C 1 2/m 1'
_space_group_IT_number 12
_space_group_name_Hall '-C 2y'
loop_
_atom_site_label
_atom_site_fract_x
_atom_site_fract_y
_atom_site_fract_z
La1 0.0000 0.1664 0.0000
Ho1 0.0000 0.5000 0.0000
Er1 0.2462 0.5000 0.7444
Er2 0.2482 0.1660 0.7445
Tm1 0.0000 0.0000 0.5000
Tm2 0.0000 0.3336 0.5000
```